(1)
Computed powder diffraction line list
Compound: Pm3PrPd12
Radiation: λ = 1.5418 Å (Cu Kα)
Structure: DFT lattice parameters and positions (PBE)
Peak positions follow from Bragg's law for the DFT cell and can differ from measured ones.

Structure:
```
data_Pm3PrPd12
_cell_length_a 4.186
_cell_length_b 4.186
_cell_length_c 16.852
_cell_angle_alpha 90.00
_cell_angle_beta 90.00
_cell_angle_gamma 90.00
_space_group_name_H-M_alt 'P 1'
_space_group_IT_number 1
loop_
_space_group_symop_operation_xyz
'x,y,z'
loop_
_atom_site_label
_atom_site_type_symbol
_atom_site_fract_x
_atom_site_fract_y
_atom_site_fract_z
Pm1 Pm 0.000 0.000 0.000
Pm2 Pm 0.000 0.000 0.249
Pm3 Pm 0.000 0.000 0.751
Pr1 Pr 0.000 0.000 0.500
Pd1 Pd 0.000 0.500 0.124
Pd2 Pd 0.000 0.500 0.373
Pd3 Pd 0.000 0.500 0.627
Pd4 Pd 0.000 0.500 0.876
Pd5 Pd 0.500 0.000 0.124
Pd6 Pd 0.500 0.000 0.373
Pd7 Pd 0.500 0.000 0.627
Pd8 Pd 0.500 0.000 0.876
Pd9 Pd 0.500 0.500 0.000
Pd10 Pd 0.500 0.500 0.249
Pd11 Pd 0.500 0.500 0.500
Pd12 Pd 0.500 0.500 0.751
```

Main lines, by angle (2θ = 10–90°):
37.12°, d = 2.422 Å, intensity 100
42.93°, d = 2.107 Å, intensity 17
43.23°, d = 2.093 Å, intensity 32
62.56°, d = 1.485 Å, intensity 21
74.83°, d = 1.269 Å, intensity 12
75.25°, d = 1.263 Å, intensity 25

(2)
Computed powder diffraction line list
Compound: Pu2ZnSi3Pt12
Radiation: λ = 1.5418 Å (Cu Kα)
Structure: DFT lattice parameters and positions (PBE)
Peak positions follow from Bragg's law for the DFT cell and can differ from measured ones.

Structure:
```
data_Pu2ZnSi3Pt12
_cell_length_a 7.613
_cell_length_b 7.613
_cell_length_c 7.613
_cell_angle_alpha 65.14
_cell_angle_beta 65.14
_cell_angle_gamma 65.14
_space_group_name_H-M_alt 'P 1'
_space_group_IT_number 1
loop_
_space_group_symop_operation_xyz
'x,y,z'
loop_
_atom_site_label
_atom_site_type_symbol
_atom_site_fract_x
_atom_site_fract_y
_atom_site_fract_z
Pu1 Pu 0.114 0.114 0.114
Pu2 Pu 0.886 0.886 0.886
Zn1 Zn 0.500 0.500 0.500
Si1 Si 0.000 0.500 0.500
Si2 Si 0.500 0.000 0.500
Si3 Si 0.500 0.500 0.000
Pt1 Pt 0.123 0.634 0.634
Pt2 Pt 0.141 0.141 0.607
Pt3 Pt 0.141 0.607 0.141
Pt4 Pt 0.366 0.366 0.877
Pt5 Pt 0.366 0.877 0.366
Pt6 Pt 0.393 0.859 0.859
Pt7 Pt 0.607 0.141 0.141
Pt8 Pt 0.634 0.123 0.634
Pt9 Pt 0.634 0.634 0.123
Pt10 Pt 0.859 0.393 0.859
Pt11 Pt 0.859 0.859 0.393
Pt12 Pt 0.877 0.366 0.366
```

Main lines, by angle (2θ = 10–90°):
32.19°, d = 2.780 Å, intensity 100
44.20°, d = 2.049 Å, intensity 53
48.09°, d = 1.892 Å, intensity 39
55.72°, d = 1.650 Å, intensity 21
73.73°, d = 1.285 Å, intensity 17
79.52°, d = 1.205 Å, intensity 15

(3)
Computed powder diffraction line list
Compound: Ho4Tl3Cd
Radiation: λ = 1.5418 Å (Cu Kα)
Structure: DFT lattice parameters and positions (PBE)
Peak positions follow from Bragg's law for the DFT cell and can differ from measured ones.

Structure:
```
data_Ho4Tl3Cd
_cell_length_a 8.419
_cell_length_b 8.419
_cell_length_c 5.322
_cell_angle_alpha 108.35
_cell_angle_beta 108.35
_cell_angle_gamma 36.85
_space_group_name_H-M_alt 'P 1'
_space_group_IT_number 1
loop_
_space_group_symop_operation_xyz
'x,y,z'
loop_
_atom_site_label
_atom_site_type_symbol
_atom_site_fract_x
_atom_site_fract_y
_atom_site_fract_z
Ho1 Ho 0.124 0.124 0.124
Ho2 Ho 0.376 0.376 0.376
Ho3 Ho 0.624 0.624 0.624
Ho4 Ho 0.876 0.876 0.876
Tl1 Tl 0.000 0.000 0.500
Tl2 Tl 0.253 0.253 0.753
Tl3 Tl 0.747 0.747 0.247
Cd1 Cd 0.500 0.500 0.000
```

Main lines, by angle (2θ = 10–90°):
33.67°, d = 2.662 Å, intensity 100
48.36°, d = 1.882 Å, intensity 18
60.21°, d = 1.537 Å, intensity 32
70.79°, d = 1.331 Å, intensity 12
80.68°, d = 1.191 Å, intensity 8
80.77°, d = 1.190 Å, intensity 8